Starting from a structure optimized by DFT (GGA-PBE), the X-ray powder pattern of La4Ti3O12 was computed for Cu Kα (λ = 1.5418 Å).
Neutral-atom scattering factors, no anomalous dispersion.

Cell and atoms:
a b c (Å): 9.3593 9.3593 9.3593
angles (deg): 34.83 34.83 34.83
Fractional positions:
La (0.1343, 0.1343, 0.1343)
La (0.2874, 0.2874, 0.2874)
La (0.7126, 0.7126, 0.7126)
La (0.8657, 0.8657, 0.8657)
Ti (0.0000, 0.0000, 0.0000)
Ti (0.4244, 0.4244, 0.4244)
Ti (0.5756, 0.5756, 0.5756)
O (0.1165, 0.6976, 0.5526)
O (0.1434, 0.2715, 0.7088)
O (0.2715, 0.7088, 0.1434)
O (0.2912, 0.8566, 0.7285)
O (0.3024, 0.4474, 0.8835)
O (0.4474, 0.8835, 0.3024)
O (0.5526, 0.1165, 0.6976)
O (0.6976, 0.5526, 0.1165)
O (0.7088, 0.1434, 0.2715)
O (0.7285, 0.2912, 0.8566)
O (0.8566, 0.7285, 0.2912)
O (0.8835, 0.3024, 0.4474)

Principal peaks in the range 2θ = 10–90°, by angle:
2θ (°)  I/Imax
19.50  158
24.95  183
30.05  1000
31.95  818
40.95  174
44.43  531
52.13  192
55.76  365
56.93  209
62.45  144
66.78  140
71.88  141

---

Starting from a structure optimized by DFT (GGA-PBE), the X-ray powder pattern of La5Ti4O15 was computed for Cu Kα (λ = 1.5418 Å).
Neutral-atom scattering factors, no anomalous dispersion.

Cell and atoms:
a b c (Å): 5.5591 5.5591 22.4454
angles (deg): 90.00 90.00 120.00
Fractional positions:
La (0.0000, 0.0000, 0.0000)
La (0.0000, 0.0000, 0.5000)
La (0.3333, 0.6667, 0.2146)
La (0.3333, 0.6667, 0.3909)
La (0.3333, 0.6667, 0.7146)
La (0.3333, 0.6667, 0.8909)
La (0.6667, 0.3333, 0.1091)
La (0.6667, 0.3333, 0.2854)
La (0.6667, 0.3333, 0.6091)
La (0.6667, 0.3333, 0.7854)
Ti (0.0000, 0.0000, 0.1574)
Ti (0.0000, 0.0000, 0.3426)
Ti (0.0000, 0.0000, 0.6574)
Ti (0.0000, 0.0000, 0.8426)
Ti (0.3333, 0.6667, 0.0511)
Ti (0.3333, 0.6667, 0.5511)
Ti (0.6667, 0.3333, 0.4489)
Ti (0.6667, 0.3333, 0.9489)
O (0.0000, 0.5000, 0.0000)
O (0.0000, 0.5000, 0.5000)
O (0.1172, 0.3452, 0.3037)
O (0.1172, 0.7719, 0.8037)
O (0.1230, 0.3268, 0.5992)
O (0.1230, 0.7962, 0.0992)
O (0.2038, 0.3268, 0.0992)
O (0.2038, 0.8770, 0.5992)
O (0.2281, 0.3452, 0.8037)
O (0.2281, 0.8828, 0.3037)
O (0.3268, 0.1230, 0.9008)
O (0.3268, 0.2038, 0.4008)
O (0.3452, 0.1172, 0.1963)
O (0.3452, 0.2281, 0.6963)
O (0.5000, 0.0000, 0.0000)
O (0.5000, 0.0000, 0.5000)
O (0.5000, 0.5000, 0.0000)
O (0.5000, 0.5000, 0.5000)
O (0.6548, 0.7719, 0.3037)
O (0.6548, 0.8828, 0.8037)
O (0.6732, 0.7962, 0.5992)
O (0.6732, 0.8770, 0.0992)
O (0.7719, 0.1172, 0.6963)
O (0.7719, 0.6548, 0.1963)
O (0.7962, 0.1230, 0.4008)
O (0.7962, 0.6732, 0.9008)
O (0.8770, 0.2038, 0.9008)
O (0.8770, 0.6732, 0.4008)
O (0.8828, 0.2281, 0.1963)
O (0.8828, 0.6548, 0.6963)

Principal peaks in the range 2θ = 10–90°, by angle:
2θ (°)  I/Imax
20.07  198
24.36  142
30.26  1000
32.20  815
40.79  177
44.77  567
52.47  255
56.21  363
57.42  178
67.38  161
72.45  174
75.62  140

---

Starting from a structure optimized by DFT (GGA-PBE), the X-ray powder pattern of LaTi2O6 was computed for Cu Kα (λ = 1.5418 Å).
Neutral-atom scattering factors, no anomalous dispersion.

Cell and atoms:
a b c (Å): 5.2035 5.2035 5.1287
angles (deg): 90.00 90.00 120.00
Fractional positions:
La (0.0000, 0.0000, 0.0000)
Ti (0.3333, 0.6667, 0.5000)
Ti (0.6667, 0.3333, 0.5000)
O (0.0000, 0.3731, 0.7121)
O (0.0000, 0.6269, 0.2879)
O (0.3731, 0.0000, 0.7121)
O (0.3731, 0.3731, 0.2879)
O (0.6269, 0.0000, 0.2879)
O (0.6269, 0.6269, 0.7121)

Principal peaks in the range 2θ = 10–90°, by angle:
2θ (°)  I/Imax
19.70  150
26.33  1000
34.47  235
38.81  87
40.47  91
43.89  219
49.94  343
56.97  218
57.67  95
61.76  106
78.82  88
79.42  80

---

Starting from a structure optimized by DFT (GGA-PBE), the X-ray powder pattern of LaY3Ti4O12 was computed for Cu Kα (λ = 1.5418 Å).
Neutral-atom scattering factors, no anomalous dispersion.

Cell and atoms:
a b c (Å): 5.4108 7.7593 5.7226
angles (deg): 90.00 90.07 90.00
Fractional positions:
La (0.0000, 0.0000, 0.0000)
Y (0.0344, 0.5000, 0.8680)
Y (0.4943, 0.5000, 0.3729)
Y (0.5365, 0.0000, 0.5080)
Ti (0.0118, 0.2528, 0.4388)
Ti (0.0118, 0.7472, 0.4388)
Ti (0.5143, 0.2543, 0.9401)
Ti (0.5143, 0.7457, 0.9401)
O (0.1293, 0.0000, 0.4175)
O (0.2063, 0.3092, 0.1392)
O (0.2063, 0.6908, 0.1392)
O (0.3149, 0.3101, 0.6435)
O (0.3149, 0.6899, 0.6435)
O (0.4284, 0.0000, 0.9000)
O (0.6356, 0.5000, 0.9876)
O (0.6985, 0.1981, 0.2477)
O (0.6985, 0.8019, 0.2477)
O (0.8122, 0.2031, 0.7318)
O (0.8122, 0.7969, 0.7318)
O (0.8967, 0.5000, 0.4805)

Principal peaks in the range 2θ = 10–90°, by angle:
2θ (°)  I/Imax
22.62  97
25.40  212
31.26  191
32.42  1000
33.11  233
33.38  114
46.18  212
46.83  161
47.73  127
52.19  180
58.55  115
58.71  234

---

Starting from a structure optimized by DFT (GGA-PBE), the X-ray powder pattern of La12TmTl4O3 was computed for Cu Kα (λ = 1.5418 Å).
Neutral-atom scattering factors, no anomalous dispersion.

Cell and atoms:
a b c (Å): 9.1396 9.1396 9.1396
angles (deg): 109.47 109.47 109.47
Fractional positions:
La (0.0000, 0.2753, 0.2753)
La (0.0000, 0.7247, 0.7247)
La (0.2500, 0.5000, 0.7500)
La (0.2500, 0.7500, 0.5000)
La (0.2753, 0.0000, 0.2753)
La (0.2753, 0.2753, 0.0000)
La (0.5000, 0.2500, 0.7500)
La (0.5000, 0.7500, 0.2500)
La (0.7247, 0.0000, 0.7247)
La (0.7247, 0.7247, 0.0000)
La (0.7500, 0.2500, 0.5000)
La (0.7500, 0.5000, 0.2500)
Tm (0.0000, 0.0000, 0.0000)
Tl (0.0000, 0.0000, 0.5000)
Tl (0.0000, 0.5000, 0.0000)
Tl (0.5000, 0.0000, 0.0000)
Tl (0.5000, 0.5000, 0.5000)
O (0.0000, 0.5000, 0.5000)
O (0.5000, 0.0000, 0.5000)
O (0.5000, 0.5000, 0.0000)

Principal peaks in the range 2θ = 10–90°, by angle:
2θ (°)  I/Imax
23.85  129
29.32  1000
31.72  63
33.98  728
40.07  47
41.94  47
48.82  503
57.97  406
60.81  166
71.52  75
79.11  150
81.59  201

---

Starting from a structure optimized by DFT (GGA-PBE), the X-ray powder pattern of La2TmO4 was computed for Cu Kα (λ = 1.5418 Å).
Neutral-atom scattering factors, no anomalous dispersion.

Cell and atoms:
a b c (Å): 6.2002 6.2002 6.2352
angles (deg): 116.88 116.88 33.00
Fractional positions:
La (0.1894, 0.1894, 0.1961)
La (0.8106, 0.8106, 0.8039)
Tm (0.5000, 0.5000, 0.5000)
O (0.1340, 0.1340, 0.5175)
O (0.3795, 0.3795, 0.0961)
O (0.6205, 0.6205, 0.9039)
O (0.8660, 0.8660, 0.4825)

Principal peaks in the range 2θ = 10–90°, by angle:
2θ (°)  I/Imax
28.53  464
28.69  531
29.13  1000
30.06  482
36.21  602
45.80  306
47.85  315
49.75  130
51.10  283
51.93  150
60.36  251
61.17  130

---

Starting from a structure optimized by DFT (GGA-PBE), the X-ray powder pattern of La4UO10 was computed for Cu Kα (λ = 1.5418 Å).
Neutral-atom scattering factors, no anomalous dispersion.

Cell and atoms:
a b c (Å): 6.9047 6.9047 6.9047
angles (deg): 99.56 99.56 131.91
Fractional positions:
La (0.0991, 0.6998, 0.7989)
La (0.3002, 0.0991, 0.3993)
La (0.6998, 0.9009, 0.6007)
La (0.9009, 0.3002, 0.2011)
U (0.5000, 0.5000, 0.0000)
O (0.0886, 0.3647, 0.9114)
O (0.1771, 0.0886, 0.7239)
O (0.2500, 0.7500, 0.5000)
O (0.3647, 0.4532, 0.2761)
O (0.4532, 0.1771, 0.0886)
O (0.5468, 0.8229, 0.9114)
O (0.6353, 0.5468, 0.7239)
O (0.7500, 0.2500, 0.5000)
O (0.8229, 0.9114, 0.2761)
O (0.9114, 0.6353, 0.0886)

Principal peaks in the range 2θ = 10–90°, by angle:
2θ (°)  I/Imax
18.65  39
27.41  1000
31.76  314
45.53  535
53.96  462
56.57  96
66.29  55
73.21  189
75.39  88
75.53  44
84.12  110
84.24  55

---

Starting from a structure optimized by DFT (GGA-PBE), the X-ray powder pattern of La2U3O11 was computed for Cu Kα (λ = 1.5418 Å).
Neutral-atom scattering factors, no anomalous dispersion.

Cell and atoms:
a b c (Å): 10.1818 10.1818 10.1818
angles (deg): 158.18 148.20 38.90
Fractional positions:
La (0.1999, 0.1999, 0.0000)
La (0.8001, 0.8001, 0.0000)
U (0.0000, 0.0000, 0.0000)
U (0.4060, 0.4060, 0.0000)
U (0.5940, 0.5940, 0.0000)
O (0.0860, 0.3138, 0.7722)
O (0.1408, 0.9042, 0.2366)
O (0.2170, 0.5000, 0.7170)
O (0.3323, 0.0958, 0.2366)
O (0.4584, 0.6862, 0.7722)
O (0.5000, 0.0000, 0.5000)
O (0.5416, 0.3138, 0.2278)
O (0.6677, 0.9042, 0.7634)
O (0.7830, 0.5000, 0.2830)
O (0.8592, 0.0958, 0.7634)
O (0.9140, 0.6862, 0.2278)

Principal peaks in the range 2θ = 10–90°, by angle:
2θ (°)  I/Imax
28.17  1000
32.09  134
32.92  247
46.64  358
47.16  90
47.34  80
54.83  163
55.86  151
55.98  145
75.19  68
75.29  61
87.33  61